# 1
# GeF2
Calculated powder diffraction line list, Cu Kα (weighted mean of Kα1 and Kα2). Input: a crystal structure in the Materials Project, relaxed with GGA-PBE.
Lines closer than 0.1° are merged.

Atomic structure:
```
GeF2
1.0
8.661 0.000 0.000
0.000 5.327 0.000
0.000 0.000 4.458
Ge F
4 8
Direct
0.113 0.250 0.248
0.387 0.750 0.748
0.613 0.250 0.252
0.887 0.750 0.752
0.000 0.000 0.500
0.000 0.500 0.500
0.226 0.750 0.022
0.274 0.250 0.522
0.500 0.000 0.000
0.500 0.500 0.000
0.726 0.750 0.478
0.774 0.250 0.978
```

Top 10 peaks for 2θ = 5–70°, by angle:
Position (°2θ)	I_rel
26.1	100
26.5	85
28.7	84
33.6	28
44.8	49
49.0	42
49.9	35
53.6	15
54.6	14
59.5	19

# 2
# GeF4
Calculated powder diffraction line list, Cu Kα (weighted mean of Kα1 and Kα2). Input: a crystal structure in the Materials Project, relaxed with GGA-PBE.
Lines closer than 0.1° are merged.

Atomic structure:
```
GeF4
1.0
-2.829 2.829 2.829
2.829 -2.829 2.829
2.829 2.829 -2.829
Ge F
1 4
Direct
0.000 0.000 0.000
0.000 0.000 0.650
0.000 0.650 0.000
0.350 0.350 0.350
0.650 0.000 0.000
```

Top 8 peaks for 2θ = 5–70°, by angle:
Position (°2θ)	I_rel
22.2	100
31.6	2
39.0	36
45.3	18
51.0	5
56.3	3
61.3	24
66.0	1

# 3
# Ge3F8
Calculated powder diffraction line list, Cu Kα (weighted mean of Kα1 and Kα2). Input: a crystal structure in the Materials Project, relaxed with GGA-PBE.
Lines closer than 0.1° are merged.

Atomic structure:
```
Ge3F8
1.0
5.094 0.000 0.000
0.000 5.209 0.000
-4.896 0.000 12.061
Ge F
6 16
Direct
0.000 0.000 0.000
0.000 0.500 0.500
0.383 0.101 0.331
0.383 0.399 0.831
0.617 0.601 0.169
0.617 0.899 0.669
0.012 0.563 0.364
0.012 0.937 0.864
0.224 0.703 0.060
0.224 0.797 0.560
0.317 0.191 0.034
0.317 0.309 0.534
0.415 0.077 0.752
0.415 0.423 0.252
0.585 0.577 0.748
0.585 0.923 0.248
0.683 0.691 0.466
0.683 0.809 0.966
0.776 0.203 0.440
0.776 0.297 0.940
0.988 0.063 0.136
0.988 0.437 0.636
```

Top 10 peaks for 2θ = 5–70°, by angle:
Position (°2θ)	I_rel
19.0	31
22.6	18
24.4	99
25.6	25
28.0	100
28.5	54
35.2	25
45.3	24
51.7	19
52.3	30

# 4
# GeH10N4F6
Calculated powder diffraction line list, Cu Kα (weighted mean of Kα1 and Kα2). Input: a crystal structure in the Materials Project, relaxed with GGA-PBE.
Lines closer than 0.1° are merged.

Atomic structure:
```
GeH10N4F6
1.0
6.079 0.000 0.000
0.000 5.350 0.000
-3.979 0.000 11.168
Ge H N F
2 20 8 12
Direct
0.000 0.000 0.000
0.000 0.500 0.500
0.160 0.154 0.707
0.160 0.346 0.207
0.264 0.522 0.331
0.264 0.978 0.831
0.279 0.091 0.370
0.279 0.409 0.870
0.427 0.024 0.740
0.427 0.476 0.240
0.461 0.723 0.083
0.461 0.777 0.583
0.539 0.223 0.417
0.539 0.277 0.917
0.573 0.524 0.760
0.573 0.976 0.260
0.721 0.591 0.130
0.721 0.909 0.630
0.736 0.022 0.169
0.736 0.478 0.669
0.840 0.654 0.793
0.840 0.846 0.293
0.309 0.108 0.777
0.309 0.392 0.277
0.408 0.166 0.341
0.408 0.334 0.841
0.592 0.666 0.159
0.592 0.834 0.659
0.691 0.608 0.723
0.691 0.892 0.223
0.077 0.700 0.632
0.077 0.800 0.132
0.119 0.734 0.418
0.119 0.766 0.918
0.286 0.146 0.057
0.286 0.354 0.557
0.714 0.646 0.443
0.714 0.854 0.943
0.881 0.234 0.082
0.881 0.266 0.582
0.923 0.200 0.868
0.923 0.300 0.368
```

Top 10 peaks for 2θ = 5–70°, by angle:
Position (°2θ)	I_rel
15.5	53
15.9	35
18.1	41
18.4	100
22.3	35
25.8	57
29.1	30
29.2	19
35.6	22
36.3	14

# 5
# K2GeF6
Calculated powder diffraction line list, Cu Kα (weighted mean of Kα1 and Kα2). Input: a crystal structure in the Materials Project, relaxed with GGA-PBE.
Lines closer than 0.1° are merged.

Atomic structure:
```
K2GeF6
1.0
5.853 0.000 0.000
-2.926 5.069 0.000
0.000 0.000 9.552
K Ge F
4 2 12
Direct
0.000 0.000 0.000
0.000 0.000 0.500
0.333 0.667 0.277
0.667 0.333 0.777
0.333 0.667 0.663
0.667 0.333 0.163
0.040 0.520 0.551
0.183 0.365 0.770
0.183 0.817 0.770
0.365 0.183 0.270
0.480 0.520 0.551
0.480 0.960 0.551
0.520 0.040 0.051
0.520 0.480 0.051
0.635 0.817 0.770
0.817 0.183 0.270
0.817 0.635 0.270
0.960 0.480 0.051
```

Top 10 peaks for 2θ = 5–70°, by angle:
Position (°2θ)	I_rel
18.6	34
19.8	100
25.6	63
30.5	59
33.2	33
40.3	80
45.8	40
56.0	22
60.7	20
63.6	25

# 6
# K2GeF6
Calculated powder diffraction line list, Cu Kα (weighted mean of Kα1 and Kα2). Input: a crystal structure in the Materials Project, relaxed with GGA-PBE.
Lines closer than 0.1° are merged.

Atomic structure:
```
K2GeF6
1.0
5.752 0.000 0.000
-2.876 4.981 0.000
0.000 0.000 4.778
K Ge F
2 1 6
Direct
0.333 0.667 0.202
0.667 0.333 0.798
0.000 0.000 0.500
0.153 0.305 0.716
0.153 0.847 0.716
0.305 0.153 0.284
0.695 0.847 0.716
0.847 0.153 0.284
0.847 0.695 0.284
```

Top 10 peaks for 2θ = 5–70°, by angle:
Position (°2θ)	I_rel
17.8	51
18.6	21
25.8	100
31.1	42
40.9	85
41.9	22
52.2	21
53.1	29
62.8	22
64.8	19